Theoretical XRD peak list
Compound: LiYB4H16
Radiation: Cu Kα (weighted mean of Kα1 and Kα2)
Structure: a DFT-relaxed cell (PBE, Alexandria)

Main lines, by angle (10° ≤ 2θ ≤ 80°):
index	2θ (°)	d/Å	I (rel.)
1 0 0	14.36	6.167	100
0 0 1	15.62	5.674	69
1 1 0	20.36	4.361	57
1 0 1	21.28	4.176	83
1 1 1	25.77	3.458	75
2 1 1	36.21	2.481	41

Unit cell a=6.167 b=6.167 c=5.674 alpha=90.00 beta=90.00 gamma=90.00
Space group P-42m (No. 111)
Asymmetric unit:
Li1 0.000 0.000 0.000 x1
Y1 0.500 0.500 0.000 x1
B1 0.252 0.252 0.787 x4
H1 0.132 0.132 0.683 x4
H2 0.213 0.444 0.739 x8
H3 0.235 0.235 0.004 x4

Theoretical XRD peak list
Compound: MgB2H8
Radiation: Cu Kα (weighted mean of Kα1 and Kα2)
Structure: a DFT-relaxed cell (PBE, Alexandria)

Main lines, by angle (10° ≤ 2θ ≤ 80°):
index	2θ (°)	d/Å	I (rel.)
1 1 0	15.95	5.555	100
2 0 0	20.16	4.404	26
1 1 1	27.18	3.281	22
3 1 -2	30.93	2.891	21
2 2 -2	36.53	2.460	20
3 3 -2	47.76	1.904	12

Unit cell a=11.090 b=7.158 c=6.772 alpha=90.00 beta=127.42 gamma=90.00
Space group C2/c (No. 15)
Asymmetric unit:
Mg1 0.000 0.001 0.250 x4
B1 0.104 0.213 0.102 x8
H1 0.035 0.182 0.536 x8
H2 0.121 0.379 0.116 x8
H3 0.168 0.146 0.312 x8
H4 0.170 0.140 0.027 x8

Theoretical XRD peak list
Compound: MgB2H8
Radiation: Cu Kα (weighted mean of Kα1 and Kα2)
Structure: a DFT-relaxed cell (PBE, Alexandria)

Main lines, by angle (10° ≤ 2θ ≤ 80°):
index	2θ (°)	d/Å	I (rel.)
0 1 1	18.83	4.713	100
1 0 0	20.81	4.268	25
0 0 2	21.33	4.166	23
1 1 0	26.06	3.420	33
1 1 1	28.21	3.164	26
1 2 2	43.89	2.063	21

Unit cell a=4.268 b=5.716 c=8.333 alpha=90.00 beta=90.00 gamma=90.00
Space group Pmc2_1 (No. 26)
Asymmetric unit:
Mg1 0.000 0.209 0.000 x2
B1 0.000 0.021 0.743 x2
B2 0.500 0.423 0.976 x2
H1 0.000 0.089 0.370 x2
H2 0.000 0.234 0.755 x2
H3 0.243 0.031 0.174 x4
H4 0.277 0.472 0.063 x4
H5 0.500 0.212 0.942 x2
H6 0.500 0.461 0.355 x2

Theoretical XRD peak list
Compound: MgB2H8
Radiation: Cu Kα (weighted mean of Kα1 and Kα2)
Structure: a DFT-relaxed cell (PBE, Alexandria)

Main lines, by angle (10° ≤ 2θ ≤ 80°):
index	2θ (°)	d/Å	I (rel.)
1 1 1	14.22	6.229	100
0 2 2	21.83	4.072	10
2 0 2	23.61	3.768	7
2 2 0	24.45	3.641	6
2 2 2	28.66	3.114	5
1 3 3	34.31	2.613	7

Unit cell a=9.670 b=11.065 c=12.027 alpha=90.00 beta=90.00 gamma=90.00
Space group F222 (No. 22)
Asymmetric unit:
Mg1 0.000 0.000 0.000 x4
Mg2 0.250 0.250 0.250 x4
B1 0.154 0.110 0.119 x16
H1 0.083 0.167 0.186 x16
H2 0.122 0.148 0.026 x16
H3 0.132 0.003 0.135 x16
H4 0.221 0.123 0.374 x16